(1)
Theoretical powder XRD pattern of CsErNb6Br18 for Cu Kα (weighted mean of Kα1 and Kα2), from a GGA-PBE-relaxed structure.
Kinematic intensities with the Lorentz-polarization factor, no thermal factor.

```
data_CsErNb6Br18
_chemical_formula_sum 'Cs2 Er2 Nb12 Br36'
_space_group_name_H-M_alt 'P -3 1 c'
_space_group_IT_number 163
_space_group_name_Hall '-P 3 2c'
_cell_length_a 9.9492
_cell_length_b 9.9492
_cell_length_c 18.5452
_cell_angle_alpha 90.00
_cell_angle_beta 90.00
_cell_angle_gamma 120.00
loop_
_atom_site_label
_atom_site_fract_x
_atom_site_fract_y
_atom_site_fract_z
Cs1 0.3333 0.6667 0.2500
Er1 0.3333 0.6667 0.7500
Nb1 0.0379 0.1876 0.9350
Br1 0.0454 0.2303 0.1594
Br2 0.0869 0.4500 0.8374
Br3 0.1404 0.4150 0.4991
```

The 8 most intense peaks (2θ from 10° to 90°), by angle:
index, 2θ (°), I (rel.)
1 0 0, 10.3, 69
1 0 2, 14.0, 72
3 -1 2, 29.1, 43
2 1 3, 31.0, 82
2 1 4, 33.6, 100
2 -1 6, 34.2, 40
2 1 5, 36.7, 41
2 1 6, 40.3, 45

---

(2)
Theoretical powder XRD pattern of LiSmP4O12 for Cu Kα (weighted mean of Kα1 and Kα2), from a GGA-PBE-relaxed structure.
Kinematic intensities with the Lorentz-polarization factor, no thermal factor.

```
data_LiSmP4O12
_chemical_formula_sum 'Li4 Sm4 P16 O48'
_space_group_name_H-M_alt 'C 1 2/c 1'
_space_group_IT_number 15
_space_group_name_Hall '-C 2yc'
_cell_length_a 16.5739
_cell_length_b 7.1386
_cell_length_c 9.8149
_cell_angle_alpha 90.00
_cell_angle_beta 126.26
_cell_angle_gamma 90.00
loop_
_atom_site_label
_atom_site_fract_x
_atom_site_fract_y
_atom_site_fract_z
Li1 0.0000 0.2026 0.2500
Sm1 0.0000 0.2994 0.7500
P1 0.1381 0.0546 0.1621
P2 0.1478 0.3446 0.5975
O1 0.0662 0.0038 0.2033
O2 0.0738 0.4075 0.4173
O3 0.1136 0.2164 0.0460
O4 0.1283 0.3845 0.7254
O5 0.1591 0.1213 0.5852
O6 0.2443 0.0840 0.3429
```

The 8 most intense peaks (2θ from 10° to 90°), by angle:
index, 2θ (°), I (rel.)
2 0 0, 13.2, 41
1 1 -1, 15.3, 43
1 1 1, 20.3, 100
4 0 -2, 22.5, 74
3 1 -2, 23.0, 25
0 2 1, 27.4, 37
5 1 -1, 30.9, 38
2 0 2, 32.4, 53

---

(3)
Theoretical powder XRD pattern of Mn2Cu3Ge for Cu Kα (weighted mean of Kα1 and Kα2), from a GGA-PBE-relaxed structure.
Kinematic intensities with the Lorentz-polarization factor, no thermal factor.

```
data_Mn2Cu3Ge
_chemical_formula_sum 'Mn4 Cu6 Ge2'
_space_group_name_H-M_alt 'P 63/m m c'
_space_group_IT_number 194
_space_group_name_Hall '-P 6c 2c'
_cell_length_a 4.8971
_cell_length_b 4.8971
_cell_length_c 7.7712
_cell_angle_alpha 90.00
_cell_angle_beta 90.00
_cell_angle_gamma 120.00
loop_
_atom_site_label
_atom_site_fract_x
_atom_site_fract_y
_atom_site_fract_z
Mn1 0.3333 0.6667 0.0597
Cu1 0.1721 0.3441 0.7500
Ge1 0.0000 0.0000 0.0000
```

The 8 most intense peaks (2θ from 10° to 90°), by angle:
index, 2θ (°), I (rel.)
1 1 0, 36.7, 23
1 0 3, 40.8, 56
1 1 2, 43.7, 100
2 0 1, 44.3, 87
0 0 4, 46.8, 23
2 0 2, 48.9, 27
2 0 5, 75.9, 24
2 2 0, 78.1, 24